1.
# CaPm4Pr3
Computed powder X-ray diffraction pattern, Cu Ka. Input: DFT lattice parameters and positions (GGA-PBE).
No peak broadening, texture or thermal motion is included.

The 8 most intense peaks (2θ = 5–70°), in order of rising 2θ:
d = 3.191 Å, 27.96 deg, rel. 55; d = 2.956 Å, 30.23 deg, rel. 100; d = 2.931 Å, 30.50 deg, rel. 54; d = 2.847 Å, 31.42 deg, rel. 23; d = 2.641 Å, 33.94 deg, rel. 30; d = 2.164 Å, 41.75 deg, rel. 19; d = 1.741 Å, 52.58 deg, rel. 20; d = 1.697 Å, 54.02 deg, rel. 25

Crystal structure
```
CaPm4Pr3
1.0
13.315 -2.931 0.000
13.315 2.931 0.000
-0.003 0.000 3.711
Ca Pm Pr
1 4 3
Direct
0.000 0.000 0.000
0.104 0.104 0.500
0.224 0.224 0.499
0.776 0.776 0.501
0.896 0.896 0.500
0.349 0.349 0.000
0.500 0.500 0.500
0.651 0.651 0.000
```

=====

2.
# TlSiAu2
Computed powder X-ray diffraction pattern, Cu Ka. Input: DFT lattice parameters and positions (GGA-PBE).
No peak broadening, texture or thermal motion is included.

The 8 most intense peaks (2θ = 5–70°), in order of rising 2θ:
d = 3.282 Å, 27.17 deg, rel. 39; d = 3.165 Å, 28.19 deg, rel. 16; d = 2.798 Å, 31.99 deg, rel. 75; d = 2.593 Å, 34.59 deg, rel. 100; d = 2.302 Å, 39.13 deg, rel. 21; d = 1.919 Å, 47.37 deg, rel. 52; d = 1.543 Å, 59.97 deg, rel. 21; d = 1.474 Å, 63.07 deg, rel. 32

Crystal structure
```
TlSiAu2
1.0
1.919 1.108 6.906
-1.919 1.108 6.906
0.000 -2.216 6.906
Tl Si Au
1 1 2
Direct
0.000 0.000 0.000
0.169 0.169 0.169
0.566 0.566 0.566
0.773 0.773 0.773
```

=====

3.
# Ac2La2Pm5
Computed powder X-ray diffraction pattern, Cu Ka. Input: DFT lattice parameters and positions (GGA-PBE).
No peak broadening, texture or thermal motion is included.

The 8 most intense peaks (2θ = 5–70°), in order of rising 2θ:
d = 3.597 Å, 24.75 deg, rel. 65; d = 3.306 Å, 26.97 deg, rel. 59; d = 3.192 Å, 27.96 deg, rel. 94; d = 3.129 Å, 28.53 deg, rel. 90; d = 2.793 Å, 32.04 deg, rel. 67; d = 2.776 Å, 32.24 deg, rel. 47; d = 2.663 Å, 33.65 deg, rel. 77; d = 2.639 Å, 33.97 deg, rel. 100

Crystal structure
```
Ac2La2Pm5
1.0
11.372 -1.838 0.000
11.372 1.838 0.000
-1.000 0.000 8.391
Ac La Pm
2 2 5
Direct
0.051 0.051 0.346
0.949 0.949 0.654
0.310 0.310 0.851
0.690 0.690 0.149
0.191 0.191 0.531
0.398 0.398 0.249
0.500 0.500 0.000
0.602 0.602 0.751
0.809 0.809 0.469
```

=====

4.
# Sc6TcHg5
Computed powder X-ray diffraction pattern, Cu Ka. Input: DFT lattice parameters and positions (GGA-PBE).
No peak broadening, texture or thermal motion is included.

The 8 most intense peaks (2θ = 5–70°), in order of rising 2θ:
d = 3.472 Å, 25.65 deg, rel. 55; d = 2.456 Å, 36.58 deg, rel. 100; d = 2.451 Å, 36.67 deg, rel. 20; d = 2.002 Å, 45.29 deg, rel. 9; d = 1.736 Å, 52.72 deg, rel. 21; d = 1.552 Å, 59.55 deg, rel. 20; d = 1.419 Å, 65.81 deg, rel. 21; d = 1.416 Å, 65.97 deg, rel. 20

Crystal structure
```
Sc6TcHg5
1.0
2.461 -7.353 0.000
2.461 7.353 0.000
0.000 0.000 6.942
Sc Tc Hg
6 1 5
Direct
0.000 0.000 0.233
0.000 0.000 0.767
0.342 0.658 0.239
0.342 0.658 0.761
0.658 0.342 0.239
0.658 0.342 0.761
0.500 0.500 0.000
0.167 0.833 0.000
0.170 0.830 0.500
0.500 0.500 0.500
0.830 0.170 0.500
0.833 0.167 0.000
```